[1]
Theoretical powder diffractogram of NaTi2BiO6 for a wavelength of 1.5418 Å, from a cell relaxed with PBE.
Kinematic intensities with the Lorentz-polarization factor, no thermal factor.

Peak list (12 most intense, 2θ from 10° to 90°, by intensity)
2θ 19.67, rel. 100; 2θ 31.94, rel. 84; 2θ 32.48, rel. 76; 2θ 46.20, rel. 46; 2θ 38.02, rel. 44; 2θ 19.24, rel. 39; 2θ 57.60, rel. 33; 2θ 22.62, rel. 30; 2θ 39.95, rel. 23; 2θ 37.56, rel. 19; 2θ 38.25, rel. 19; 2θ 57.94, rel. 19

a b c (Å): 5.605 5.605 5.605
angles (deg): 58.93 58.93 58.93
Sites, in units of the cell vectors:
Na 0.000 0.000 0.000
Ti 0.240 0.240 0.240
Ti 0.745 0.745 0.745
Bi 0.515 0.515 0.515
O 0.040 0.913 0.476
O 0.417 0.535 0.961
O 0.476 0.040 0.913
O 0.535 0.961 0.417
O 0.913 0.476 0.040
O 0.961 0.417 0.535

---

[2]
Theoretical powder diffractogram of NaTi2BiO6 for a wavelength of 1.5418 Å, from a cell relaxed with PBE.
Kinematic intensities with the Lorentz-polarization factor, no thermal factor.

Peak list (12 most intense, 2θ from 10° to 90°, by intensity)
2θ 16.18, rel. 100; 2θ 26.62, rel. 61; 2θ 31.41, rel. 55; 2θ 31.22, rel. 54; 2θ 32.70, rel. 48; 2θ 54.82, rel. 32; 2θ 42.79, rel. 29; 2θ 57.69, rel. 28; 2θ 39.19, rel. 27; 2θ 57.32, rel. 20; 2θ 21.00, rel. 20; 2θ 42.50, rel. 18

a b c (Å): 5.477 5.477 4.231
angles (deg): 90.00 90.00 90.64
Sites, in units of the cell vectors:
Na 0.000 0.000 0.000
Ti 0.000 0.500 0.542
Ti 0.500 0.000 0.542
Bi 0.500 0.500 0.954
O 0.000 0.500 0.125
O 0.249 0.751 0.644
O 0.266 0.266 0.628
O 0.500 0.000 0.125
O 0.734 0.734 0.628
O 0.751 0.249 0.644

---

[3]
Theoretical powder diffractogram of Nb3Bi for a wavelength of 1.5418 Å, from a cell relaxed with PBE.
Kinematic intensities with the Lorentz-polarization factor, no thermal factor.

Peak list (12 most intense, 2θ from 10° to 90°, by intensity)
2θ 41.03, rel. 100; 2θ 64.74, rel. 53; 2θ 37.32, rel. 52; 2θ 33.26, rel. 44; 2θ 23.35, rel. 27; 2θ 79.57, rel. 15; 2θ 69.83, rel. 14; 2θ 84.31, rel. 13; 2θ 62.12, rel. 11; 2θ 81.95, rel. 10; 2θ 53.81, rel. 7; 2θ 47.75, rel. 5

a b c (Å): 5.388 5.388 5.388
angles (deg): 90.00 90.00 90.00
Sites, in units of the cell vectors:
Nb 0.000 0.250 0.500
Nb 0.000 0.750 0.500
Nb 0.250 0.500 0.000
Nb 0.500 0.000 0.250
Nb 0.500 0.000 0.750
Nb 0.750 0.500 0.000
Bi 0.000 0.000 0.000
Bi 0.500 0.500 0.500

---

[4]
Theoretical powder diffractogram of Nb3Bi for a wavelength of 1.5418 Å, from a cell relaxed with PBE.
Kinematic intensities with the Lorentz-polarization factor, no thermal factor.

Peak list (12 most intense, 2θ from 10° to 90°, by intensity)
2θ 36.64, rel. 100; 2θ 35.16, rel. 28; 2θ 64.06, rel. 19; 2θ 39.70, rel. 19; 2θ 54.06, rel. 15; 2θ 70.05, rel. 13; 2θ 77.90, rel. 10; 2θ 63.88, rel. 10; 2θ 32.26, rel. 10; 2θ 51.48, rel. 9; 2θ 87.26, rel. 8; 2θ 66.91, rel. 8

a b c (Å): 3.550 5.104 9.082
angles (deg): 90.00 90.00 90.00
Sites, in units of the cell vectors:
Nb 0.000 0.000 0.000
Nb 0.000 0.500 0.235
Nb 0.000 0.500 0.765
Nb 0.500 0.000 0.235
Nb 0.500 0.000 0.765
Nb 0.500 0.500 0.000
Bi 0.000 0.000 0.500
Bi 0.500 0.500 0.500

---

[5]
Theoretical powder diffractogram of NdTiNbBi2O9 for a wavelength of 1.5418 Å, from a cell relaxed with PBE.
Kinematic intensities with the Lorentz-polarization factor, no thermal factor.

Peak list (12 most intense, 2θ from 10° to 90°, by intensity)
2θ 29.00, rel. 100; 2θ 28.87, rel. 100; 2θ 48.76, rel. 36; 2θ 32.48, rel. 36; 2θ 46.75, rel. 34; 2θ 32.69, rel. 32; 2θ 55.79, rel. 29; 2θ 35.35, rel. 25; 2θ 13.95, rel. 24; 2θ 25.22, rel. 20; 2θ 56.18, rel. 16; 2θ 23.16, rel. 15

a b c (Å): 5.478 5.513 12.969
angles (deg): 90.00 101.81 90.00
Sites, in units of the cell vectors:
Nd 0.245 0.000 0.000
Nd 0.755 0.500 0.000
Ti 0.332 0.530 0.171
Ti 0.668 0.030 0.829
Nb 0.174 0.534 0.829
Nb 0.826 0.034 0.171
Bi 0.018 0.976 0.601
Bi 0.423 0.969 0.399
Bi 0.577 0.469 0.601
Bi 0.982 0.476 0.399
O 0.017 0.544 0.686
O 0.028 0.770 0.124
O 0.096 0.271 0.124
O 0.245 0.741 0.502
O 0.259 0.242 0.502
O 0.323 0.550 0.309
O 0.326 0.567 0.999
O 0.370 0.849 0.828
O 0.467 0.343 0.828
O 0.533 0.843 0.172
O 0.630 0.349 0.172
O 0.674 0.067 0.001
O 0.677 0.050 0.691
O 0.741 0.742 0.498
O 0.755 0.241 0.498
O 0.904 0.771 0.876
O 0.972 0.270 0.876
O 0.983 0.044 0.314